(1)
Diffraction record for CaAlSiO5. The powder X-ray diffraction pattern is theoretical, not measured: it uses DFT lattice parameters and positions (GGA-PBE) and Cu Kα.
Lines closer than 0.1° are merged.

Structure:
```
data_CaAlSiO5
_chemical_formula_sum 'Ca4 Al4 Si4 O20'
_symmetry_space_group_name_H-M 'C 1 2/c 1'
_symmetry_Int_Tables_number 15
_cell_length_a 6.430
_cell_length_b 8.686
_cell_length_c 7.030
_cell_angle_alpha 90.00
_cell_angle_beta 112.34
_cell_angle_gamma 90.00
loop_
_symmetry_equiv_pos_as_xyz
'x,y,z'
'-x,-y,-z'
'-x,y,-z+1/2'
'x,-y,z+1/2'
'x+1/2,y+1/2,z'
'-x+1/2,-y+1/2,-z'
'-x+1/2,y+1/2,-z+1/2'
'x+1/2,-y+1/2,z+1/2'
loop_
_atom_site_label
_atom_site_type_symbol
_atom_site_fract_x
_atom_site_fract_y
_atom_site_fract_z
Ca1 Ca 0.000 0.173 0.250
Al1 Al 0.000 0.500 0.000
Si1 Si 0.000 0.185 0.750
O1 O 0.000 0.439 0.250
O2 O 0.096 0.290 0.606
O3 O 0.195 0.065 0.895
```

Main lines, most intense first (5 to 70 degrees two-theta):
hkl 1 1 -2, 2θ = 27.76°, d 3.214, I = 100; hkl 1 3 0, 2θ = 34.45°, d 2.603, I = 95; hkl 2 0 0, 2θ = 30.05°, d 2.974, I = 74; hkl 3 3 0, 2θ = 56.23°, d 1.636, I = 29; hkl 1 3 1, 2θ = 39.36°, d 2.289, I = 23; hkl 2 2 2, 2θ = 53.36°, d 1.717, I = 23; hkl 1 3 -4, 2θ = 62.08°, d 1.495, I = 22; hkl 4 0 -4, 2θ = 67.27°, d 1.392, I = 21; hkl 2 0 -4, 2θ = 52.93°, d 1.730, I = 21; hkl 0 0 2, 2θ = 27.43°, d 3.251, I = 18

(2)
Diffraction record for RbCeMg14. The powder X-ray diffraction pattern is theoretical, not measured: it uses DFT lattice parameters and positions (GGA-PBE) and Cu Kα.
Lines closer than 0.1° are merged.

Structure:
```
data_RbCeMg14
_chemical_formula_sum 'Rb2 Ce2 Mg28'
_symmetry_space_group_name_H-M 'A m m 2'
_symmetry_Int_Tables_number 38
_cell_length_a 10.753
_cell_length_b 6.644
_cell_length_c 11.617
_cell_angle_alpha 90.00
_cell_angle_beta 90.00
_cell_angle_gamma 90.00
loop_
_symmetry_equiv_pos_as_xyz
'x,y,z'
'-x,-y,z'
'-x,y,z'
'x,-y,z'
'x,y+1/2,z+1/2'
'-x,-y+1/2,z+1/2'
'-x,y+1/2,z+1/2'
'x,-y+1/2,z+1/2'
loop_
_atom_site_label
_atom_site_type_symbol
_atom_site_fract_x
_atom_site_fract_y
_atom_site_fract_z
Rb1 Rb 0.000 0.000 0.000
Ce1 Ce 0.000 0.000 0.495
Mg1 Mg 0.000 0.245 0.750
Mg2 Mg 0.252 0.000 0.669
Mg3 Mg 0.260 0.000 0.175
Mg4 Mg 0.269 0.244 0.415
Mg5 Mg 0.500 0.000 0.003
Mg6 Mg 0.500 0.000 0.504
Mg7 Mg 0.500 0.248 0.750
```

Main lines, most intense first (5 to 70 degrees two-theta):
hkl 2 2 2, 2θ = 35.32°, d 2.541, I = 100; hkl 1 0 0, 2θ = 8.22°, d 10.753, I = 64; hkl 2 0 4, 2θ = 35.12°, d 2.555, I = 48; hkl 1 0 2, 2θ = 17.37°, d 5.106, I = 37; hkl 4 0 0, 2θ = 33.33°, d 2.688, I = 36; hkl 0 2 2, 2θ = 31.01°, d 2.884, I = 28; hkl 2 0 2, 2θ = 22.54°, d 3.944, I = 22; hkl 0 0 2, 2θ = 15.25°, d 5.808, I = 20; hkl 2 0 0, 2θ = 16.49°, d 5.377, I = 19; hkl 4 2 6, 2θ = 65.75°, d 1.420, I = 19

(3)
Diffraction record for K2EuAuCl6. The powder X-ray diffraction pattern is theoretical, not measured: it uses DFT lattice parameters and positions (GGA-PBE) and Cu Kα.
Lines closer than 0.1° are merged.

Structure:
```
data_K2EuAuCl6
_chemical_formula_sum 'K8 Eu4 Au4 Cl24'
_symmetry_space_group_name_H-M 'F m -3 m'
_symmetry_Int_Tables_number 225
_symmetry_space_group_name_Hall '-F 4 2 3'
_cell_length_a 10.793
_cell_length_b 10.793
_cell_length_c 10.793
_cell_angle_alpha 90.00
_cell_angle_beta 90.00
_cell_angle_gamma 90.00
loop_
_atom_site_label
_atom_site_type_symbol
_atom_site_fract_x
_atom_site_fract_y
_atom_site_fract_z
K1 K 0.250 0.250 0.250
Eu1 Eu 0.000 0.000 0.000
Au1 Au 0.000 0.000 0.500
Cl1 Cl 0.000 0.000 0.253
```

Main lines, most intense first (5 to 70 degrees two-theta):
hkl 2 0 0, 2θ = 16.43°, d 5.396, I = 100; hkl 2 2 0, 2θ = 23.31°, d 3.816, I = 99; hkl 4 0 0, 2θ = 33.20°, d 2.698, I = 66; hkl 4 2 0, 2θ = 37.26°, d 2.413, I = 54; hkl 4 2 2, 2θ = 40.97°, d 2.203, I = 47; hkl 4 4 0, 2θ = 47.67°, d 1.908, I = 45; hkl 6 0 0, 2θ = 50.76°, d 1.799, I = 28; hkl 6 4 2, 2θ = 64.62°, d 1.442, I = 24; hkl 6 2 0, 2θ = 53.71°, d 1.706, I = 21; hkl 4 4 4, 2θ = 59.32°, d 1.558, I = 15

(4)
Diffraction record for Ti2MoOs. The powder X-ray diffraction pattern is theoretical, not measured: it uses DFT lattice parameters and positions (GGA-PBE) and Cu Kα.
Lines closer than 0.1° are merged.

Structure:
```
data_Ti2MoOs
_chemical_formula_sum 'Ti8 Mo4 Os4'
_symmetry_space_group_name_H-M 'F m -3 m'
_symmetry_Int_Tables_number 225
_symmetry_space_group_name_Hall '-F 4 2 3'
_cell_length_a 6.253
_cell_length_b 6.253
_cell_length_c 6.253
_cell_angle_alpha 90.00
_cell_angle_beta 90.00
_cell_angle_gamma 90.00
loop_
_atom_site_label
_atom_site_type_symbol
_atom_site_fract_x
_atom_site_fract_y
_atom_site_fract_z
Ti1 Ti 0.250 0.250 0.250
Mo1 Mo 0.000 0.000 0.000
Os1 Os 0.000 0.000 0.500
```

Main lines, most intense first (5 to 70 degrees two-theta):
hkl 2 2 0, 2θ = 40.81°, d 2.211, I = 100; hkl 2 0 0, 2θ = 28.55°, d 3.127, I = 32; hkl 4 0 0, 2θ = 59.09°, d 1.563, I = 16; hkl 1 1 1, 2θ = 24.66°, d 3.610, I = 13; hkl 4 2 0, 2θ = 66.92°, d 1.398, I = 13; hkl 2 2 2, 2θ = 50.56°, d 1.805, I = 9; hkl 3 1 1, 2θ = 48.27°, d 1.885, I = 7; hkl 3 3 1, 2θ = 65.01°, d 1.435, I = 3

(5)
Diffraction record for Ho3ReO7. The powder X-ray diffraction pattern is theoretical, not measured: it uses DFT lattice parameters and positions (GGA-PBE) and Cu Kα.
Lines closer than 0.1° are merged.

Structure:
```
data_Ho3ReO7
_chemical_formula_sum 'Ho12 Re4 O28'
_symmetry_space_group_name_H-M 'C m c m'
_symmetry_Int_Tables_number 63
_symmetry_space_group_name_Hall '-C 2c 2'
_cell_length_a 10.537
_cell_length_b 7.347
_cell_length_c 7.390
_cell_angle_alpha 90.00
_cell_angle_beta 90.00
_cell_angle_gamma 90.00
loop_
_atom_site_label
_atom_site_type_symbol
_atom_site_fract_x
_atom_site_fract_y
_atom_site_fract_z
Ho1 Ho 0.000 0.000 0.000
Ho2 Ho 0.230 0.292 0.250
Re1 Re 0.000 0.500 0.000
O1 O 0.000 0.430 0.250
O2 O 0.129 0.305 0.536
O3 O 0.133 0.025 0.250
```

Main lines, most intense first (5 to 70 degrees two-theta):
hkl 2 0 2, 2θ = 29.53°, d 3.025, I = 100; hkl 2 2 0, 2θ = 29.65°, d 3.013, I = 94; hkl 4 2 2, 2θ = 49.19°, d 1.852, I = 50; hkl 0 2 2, 2θ = 34.43°, d 2.605, I = 46; hkl 2 2 4, 2θ = 58.61°, d 1.575, I = 28; hkl 4 0 0, 2θ = 34.03°, d 2.634, I = 25; hkl 6 0 2, 2θ = 58.19°, d 1.585, I = 23; hkl 2 4 2, 2θ = 58.82°, d 1.570, I = 18; hkl 0 0 4, 2θ = 49.32°, d 1.848, I = 17; hkl 4 0 4, 2θ = 61.28°, d 1.513, I = 11

(6)
Diffraction record for Ce3I. The powder X-ray diffraction pattern is theoretical, not measured: it uses DFT lattice parameters and positions (GGA-PBE) and Cu Kα.
Lines closer than 0.1° are merged.

Structure:
```
data_Ce3I
_chemical_formula_sum 'Ce6 I2'
_symmetry_space_group_name_H-M 'P 63/m m c'
_symmetry_Int_Tables_number 194
_symmetry_space_group_name_Hall '-P 6c 2c'
_cell_length_a 6.7224
_cell_length_b 6.7224
_cell_length_c 5.5058
_cell_angle_alpha 90.00
_cell_angle_beta 90.00
_cell_angle_gamma 120.00
loop_
_atom_site_label
_atom_site_type_symbol
_atom_site_fract_x
_atom_site_fract_y
_atom_site_fract_z
Ce1 Ce 0.1675 0.3349 0.2500
I1 I 0.3333 0.6667 0.7500
```

Main lines, most intense first (5 to 70 degrees two-theta):
hkl 2 0 1, 2θ = 34.86°, d 2.573, I = 100; hkl 0 0 2, 2θ = 32.52°, d 2.753, I = 27; hkl 2 0 0, 2θ = 30.72°, d 2.911, I = 23; hkl 2 2 2, 2θ = 65.02°, d 1.434, I = 22; hkl 2 0 3, 2θ = 59.55°, d 1.552, I = 21; hkl 2 2 0, 2θ = 54.61°, d 1.681, I = 18; hkl 2 0 2, 2θ = 45.34°, d 2.000, I = 16; hkl 4 0 1, 2θ = 66.44°, d 1.407, I = 15; hkl 0 0 4, 2θ = 68.12°, d 1.376, I = 3; hkl 4 0 0, 2θ = 63.97°, d 1.455, I = 3

(7)
Diffraction record for Bi4I. The powder X-ray diffraction pattern is theoretical, not measured: it uses DFT lattice parameters and positions (GGA-PBE) and Cu Kα.
Lines closer than 0.1° are merged.

Structure:
```
data_Bi4I
_chemical_formula_sum 'Bi32 I8'
_symmetry_space_group_name_H-M 'C 1 2/m 1'
_symmetry_Int_Tables_number 12
_cell_length_a 26.386
_cell_length_b 4.484
_cell_length_c 13.525
_cell_angle_alpha 90.00
_cell_angle_beta 104.74
_cell_angle_gamma 90.00
loop_
_symmetry_equiv_pos_as_xyz
'x,y,z'
'-x,-y,-z'
'-x,y,-z'
'x,-y,z'
'x+1/2,y+1/2,z'
'-x+1/2,-y+1/2,-z'
'-x+1/2,y+1/2,-z'
'x+1/2,-y+1/2,z'
loop_
_atom_site_label
_atom_site_type_symbol
_atom_site_fract_x
_atom_site_fract_y
_atom_site_fract_z
Bi1 Bi 0.014 0.000 0.119
Bi2 Bi 0.035 0.500 0.631
Bi3 Bi 0.064 0.500 0.869
Bi4 Bi 0.080 0.000 0.382
Bi5 Bi 0.114 0.000 0.619
Bi6 Bi 0.129 0.500 0.136
Bi7 Bi 0.159 0.500 0.371
Bi8 Bi 0.209 0.000 0.128
I1 I 0.181 0.000 0.890
I2 I 0.231 0.500 0.637
```

Main lines, most intense first (5 to 70 degrees two-theta):
hkl 5 1 -1, 2θ = 26.19°, d 3.403, I = 100; hkl 0 0 4, 2θ = 27.27°, d 3.270, I = 48; hkl 5 1 3, 2θ = 36.34°, d 2.472, I = 39; hkl 5 1 -5, 2θ = 39.93°, d 2.258, I = 34; hkl 0 2 4, 2θ = 49.28°, d 1.849, I = 20; hkl 10 0 -2, 2θ = 34.32°, d 2.613, I = 19; hkl 0 2 0, 2θ = 40.22°, d 2.242, I = 18; hkl 10 0 2, 2θ = 41.12°, d 2.195, I = 11; hkl 10 2 -2, 2θ = 53.88°, d 1.702, I = 11; hkl 2 0 0, 2θ = 6.93°, d 12.759, I = 9